# TiCr7O12
Calculated X-ray diffraction stick pattern, Cu Kα (λ = 1.5418 Å). Input: a DFT-relaxed cell (GGA+U, Alexandria).
Lines closer than 0.1° are merged.

Most intense lines, 2θ from 10° to 80°, sorted by position:
(1 1 0), d = 3.730 Å, I 802
(0 2 0), d = 2.731 Å, I 1000
(-1 1 2), d = 2.720 Å, I 486
(2 0 0), d = 2.559 Å, I 863
(1 1 -2), d = 2.549 Å, I 416
(2 1 1), d = 2.240 Å, I 212
(2 -2 0), d = 1.867 Å, I 412
(0 0 4), d = 1.861 Å, I 207
(1 3 0), d = 1.714 Å, I 565
(0 2 -4), d = 1.474 Å, I 391

Structure:
a b c (Å): 5.1193 5.4815 7.4796
angles (deg): 84.53 89.66 89.97
Fractional coordinates of all 20 atoms:
Ti 0.0000 0.0000 0.0000
Cr 0.0028 0.0073 0.5028
Cr 0.0039 0.4044 0.2046
Cr 0.4992 0.9025 0.7020
Cr 0.5013 0.4972 0.0033
Cr 0.5013 0.5046 0.5037
Cr 0.5028 0.9036 0.2058
Cr 0.9990 0.4064 0.7028
O 0.1366 0.3560 0.9532
O 0.1580 0.0579 0.2558
O 0.1999 0.7057 0.6038
O 0.3013 0.2045 0.6042
O 0.3440 0.8736 0.9536
O 0.3520 0.5552 0.2549
O 0.6508 0.5549 0.7512
O 0.6534 0.8545 0.4538
O 0.7116 0.1955 0.1108
O 0.8156 0.7156 0.1074
O 0.8499 0.0514 0.7577
O 0.8519 0.3548 0.4542